Computed powder XRD pattern
Compound: VF4
Radiation: a wavelength of 1.5418 Å
Structure: DFT lattice parameters and positions (GGA+U)
Neutral-atom scattering factors, no anomalous dispersion.

Atomic structure:
abc: 4.935 6.176 10.392
angles: 90.00 114.13 90.00
Space group P2_1/c (No. 14)
Symmetry-distinct sites (fractional):
V 0.002 0.173 0.251 (multiplicity 4)
F 0.170 0.667 0.130 (multiplicity 4)
F 0.224 0.175 0.153 (multiplicity 4)
F 0.235 0.070 0.858 (multiplicity 4)
F 0.241 0.586 0.855 (multiplicity 4)

Top 10 peaks for 10 to 90 degrees two-theta, by angle:
two_theta  Rel. int.  h k l
18.7  100  0 0 2
19.7  84  1 0 0
20.9  51  1 0 -2
30.4  21  0 2 1
32.5  13  1 0 2
38.7  47  1 2 1
42.6  25  2 0 -4
44.1  19  1 2 2
51.0  21  1 2 3
60.8  13  0 4 1